(1)
For Tm4OsPt, a cell relaxed with GGA-PBE gives the calculated PXRD pattern in this record (a wavelength of 1.5418 Å).
Kinematic intensities with the Lorentz-polarization factor, no thermal factor.

Crystal structure
```
data_Tm4OsPt
_chemical_formula_sum 'Tm16 Os4 Pt4'
_cell_length_a 8.900
_cell_length_b 12.785
_cell_length_c 6.241
_cell_angle_alpha 90.00
_cell_angle_beta 123.31
_cell_angle_gamma 90.00
_space_group_name_H-M_alt 'C 1 2/c 1'
_space_group_IT_number 15
loop_
_space_group_symop_operation_xyz
'x,y,z'
'-x,-y,-z'
'-x,y,-z+1/2'
'x,-y,z+1/2'
'x+1/2,y+1/2,z'
'-x+1/2,-y+1/2,-z'
'-x+1/2,y+1/2,-z+1/2'
'x+1/2,-y+1/2,z+1/2'
loop_
_atom_site_label
_atom_site_type_symbol
_atom_site_fract_x
_atom_site_fract_y
_atom_site_fract_z
Tm1 Tm 0.125 0.175 0.093
Tm2 Tm 0.200 0.438 0.272
Os1 Os 0.000 0.001 0.750
Pt1 Pt 0.000 0.363 0.750
```

The 10 most intense peaks (10 to 90 degrees two-theta), in order of rising 2θ:
hkl, d [Å], I_rel
0 2 0, 6.401, 56
3 1 -1, 2.879, 100
0 4 1, 2.725, 92
2 4 -1, 2.579, 48
1 3 -2, 2.473, 74
1 5 0, 2.418, 44
0 2 2, 2.415, 43
2 2 1, 2.293, 68
3 3 -2, 2.265, 60
3 3 0, 2.143, 68

=====

(2)
For V2Os3Pt2, a cell relaxed with GGA-PBE gives the calculated PXRD pattern in this record (a wavelength of 1.5418 Å).
Kinematic intensities with the Lorentz-polarization factor, no thermal factor.

Crystal structure
```
data_V2Os3Pt2
_chemical_formula_sum 'V4 Os6 Pt4'
_cell_length_a 2.724
_cell_length_b 27.600
_cell_length_c 2.724
_cell_angle_alpha 90.00
_cell_angle_beta 90.00
_cell_angle_gamma 90.00
_space_group_name_H-M_alt 'C m m m'
_space_group_IT_number 65
_space_group_name_Hall '-C 2 2'
loop_
_atom_site_label
_atom_site_type_symbol
_atom_site_fract_x
_atom_site_fract_y
_atom_site_fract_z
V1 V 0.000 0.139 0.000
Os1 Os 0.000 0.000 0.000
Os2 Os 0.000 0.430 0.500
Pt1 Pt 0.000 0.294 0.500
```

The 10 most intense peaks (10 to 90 degrees two-theta), in order of rising 2θ:
hkl, d [Å], I_rel
0 4 0, 6.900, 27
0 6 1, 2.344, 30
1 7 0, 2.241, 100
0 8 1, 2.138, 61
0 14 0, 1.971, 28
1 1 1, 1.921, 59
2 0 0, 1.362, 22
1 15 1, 1.330, 34
1 7 2, 1.164, 25
2 14 0, 1.121, 19

=====

(3)
For Y8OsPt2, a cell relaxed with GGA-PBE gives the calculated PXRD pattern in this record (a wavelength of 1.5418 Å).
Kinematic intensities with the Lorentz-polarization factor, no thermal factor.

Crystal structure
```
data_Y8OsPt2
_chemical_formula_sum 'Y16 Os2 Pt4'
_cell_length_a 8.474
_cell_length_b 12.656
_cell_length_c 5.992
_cell_angle_alpha 90.00
_cell_angle_beta 109.46
_cell_angle_gamma 90.00
_space_group_name_H-M_alt 'C 1 m 1'
_space_group_IT_number 8
loop_
_space_group_symop_operation_xyz
'x,y,z'
'x,-y,z'
'x+1/2,y+1/2,z'
'x+1/2,-y+1/2,z'
loop_
_atom_site_label
_atom_site_type_symbol
_atom_site_fract_x
_atom_site_fract_y
_atom_site_fract_z
Y1 Y 0.000 0.000 0.000
Y2 Y 0.060 0.373 0.766
Y3 Y 0.151 0.127 0.569
Y4 Y 0.206 0.500 0.356
Y5 Y 0.351 0.212 0.179
Os1 Os 0.351 0.000 0.343
Pt1 Pt 0.358 0.314 0.679
```

The 10 most intense peaks (10 to 90 degrees two-theta), in order of rising 2θ:
hkl, d [Å], I_rel
0 0 1, 5.650, 66
0 2 1, 4.214, 53
1 3 1, 2.912, 100
0 4 1, 2.761, 61
3 1 -1, 2.729, 75
0 2 2, 2.579, 60
2 2 -2, 2.549, 58
3 3 -1, 2.330, 62
1 5 -1, 2.304, 80
3 3 0, 2.252, 60